# Pa2NbGe3
Simulated PXRD pattern, CuKα. Input: a DFT-relaxed cell (PBE, Alexandria).
Intensities are scaled so that the largest is 100.

Top 10 peaks for 2θ = 15–90°, low angle first:
d = 4.259 Å, I 82; d = 3.323 Å, I 42; d = 2.940 Å, I 100; d = 2.744 Å, I 34; d = 2.706 Å, I 54; d = 2.427 Å, I 38; d = 2.367 Å, I 39; d = 2.293 Å, I 34; d = 2.055 Å, I 48; d = 1.614 Å, I 38

Structural model:
```
Pa2NbGe3
1.0
5.745 -4.176 0.000
5.745 4.176 0.000
0.000 0.000 5.487
Pa Nb Ge
4 2 6
Direct
0.071 0.686 0.750 Pa
0.314 0.929 0.750 Pa
0.686 0.071 0.250 Pa
0.929 0.314 0.250 Pa
0.438 0.562 0.250 Nb
0.562 0.438 0.750 Nb
0.127 0.873 0.250 Ge
0.304 0.304 0.000 Ge
0.304 0.304 0.500 Ge
0.696 0.696 0.000 Ge
0.696 0.696 0.500 Ge
0.873 0.127 0.750 Ge
```

# NdSm6Ag
Simulated PXRD pattern, CuKα. Input: a DFT-relaxed cell (PBE, Alexandria).
Intensities are scaled so that the largest is 100.

Top 10 peaks for 2θ = 15–90°, low angle first:
d = 3.299 Å, I 25; d = 3.169 Å, I 23; d = 2.974 Å, I 100; d = 2.750 Å, I 14; d = 2.712 Å, I 28; d = 2.638 Å, I 88; d = 2.370 Å, I 13; d = 1.938 Å, I 20; d = 1.800 Å, I 28; d = 1.487 Å, I 14

Structural model:
```
NdSm6Ag
1.0
6.412 0.000 0.000
-0.660 6.379 0.000
-0.653 -0.742 6.339
Nd Sm Ag
1 6 1
Direct
0.000 0.000 0.000 Nd
0.071 0.263 0.547 Sm
0.263 0.547 0.071 Sm
0.453 0.929 0.737 Sm
0.547 0.071 0.263 Sm
0.737 0.453 0.929 Sm
0.929 0.737 0.453 Sm
0.500 0.500 0.500 Ag
```

# Ba2ZnInO
Simulated PXRD pattern, CuKα. Input: a DFT-relaxed cell (PBE, Alexandria).
Intensities are scaled so that the largest is 100.

Top 10 peaks for 2θ = 15–90°, low angle first:
d = 3.785 Å, I 18; d = 3.622 Å, I 21; d = 3.339 Å, I 61; d = 3.128 Å, I 100; d = 2.938 Å, I 15; d = 2.808 Å, I 46; d = 2.670 Å, I 42; d = 2.311 Å, I 18; d = 2.222 Å, I 29; d = 1.850 Å, I 23

Structural model:
```
Ba2ZnInO
1.0
7.598 0.000 0.000
0.000 4.445 0.000
-2.786 0.000 8.814
Ba Zn In O
4 2 2 2
Direct
0.194 0.250 0.384 Ba
0.202 0.250 0.963 Ba
0.798 0.750 0.037 Ba
0.806 0.750 0.616 Ba
0.441 0.750 0.237 Zn
0.559 0.250 0.763 Zn
0.344 0.750 0.704 In
0.656 0.250 0.296 In
0.160 0.750 0.158 O
0.840 0.250 0.842 O
```

# AcS2O6F2
Simulated PXRD pattern, CuKα. Input: a DFT-relaxed cell (PBE, Alexandria).
Intensities are scaled so that the largest is 100.

Top 10 peaks for 2θ = 15–90°, low angle first:
d = 5.578 Å, I 18; d = 5.314 Å, I 38; d = 3.847 Å, I 100; d = 3.068 Å, I 40; d = 2.688 Å, I 17; d = 2.469 Å, I 31; d = 2.399 Å, I 27; d = 2.009 Å, I 13; d = 1.924 Å, I 19; d = 1.890 Å, I 27

Structural model:
```
AcS2O6F2
1.0
6.136 0.000 0.000
-3.068 5.314 0.000
0.000 0.000 5.578
Ac S O F
1 2 6 2
Direct
0.000 0.000 0.000 Ac
0.333 0.667 0.684 S
0.667 0.333 0.316 S
0.200 0.400 0.763 O
0.200 0.800 0.763 O
0.400 0.200 0.237 O
0.600 0.800 0.763 O
0.800 0.200 0.237 O
0.800 0.600 0.237 O
0.333 0.667 0.354 F
0.667 0.333 0.646 F
```

# DyBe3As3
Simulated PXRD pattern, CuKα. Input: a DFT-relaxed cell (PBE, Alexandria).
Intensities are scaled so that the largest is 100.

Top 10 peaks for 2θ = 15–90°, low angle first:
d = 5.524 Å, I 19; d = 4.974 Å, I 15; d = 2.967 Å, I 100; d = 2.342 Å, I 57; d = 1.918 Å, I 34; d = 1.835 Å, I 18; d = 1.610 Å, I 16; d = 1.484 Å, I 13; d = 1.233 Å, I 13; d = 1.173 Å, I 13

Structural model:
```
DyBe3As3
1.0
3.321 1.918 6.603
-3.321 1.918 6.603
0.000 -3.835 6.603
Dy Be As
2 6 6
Direct
0.166 0.166 0.166 Dy
0.834 0.834 0.834 Dy
0.039 0.373 0.715 Be
0.285 0.961 0.627 Be
0.373 0.715 0.039 Be
0.627 0.285 0.961 Be
0.715 0.039 0.373 Be
0.961 0.627 0.285 Be
0.083 0.735 0.410 As
0.265 0.590 0.917 As
0.410 0.083 0.735 As
0.590 0.917 0.265 As
0.735 0.410 0.083 As
0.917 0.265 0.590 As
```

# HfTi2Mo
Simulated PXRD pattern, CuKα. Input: a DFT-relaxed cell (PBE, Alexandria).
Intensities are scaled so that the largest is 100.

Top 10 peaks for 2θ = 15–90°, low angle first:
d = 3.390 Å, I 19; d = 3.243 Å, I 30; d = 2.925 Å, I 14; d = 2.343 Å, I 100; d = 2.293 Å, I 50; d = 1.899 Å, I 15; d = 1.621 Å, I 16; d = 1.502 Å, I 10; d = 1.363 Å, I 15; d = 1.333 Å, I 32

Structural model:
```
HfTi2Mo
1.0
3.243 0.000 0.000
0.000 3.243 0.000
0.000 0.000 6.781
Hf Ti Mo
1 2 1
Direct
0.000 0.000 0.000 Hf
0.500 0.500 0.287 Ti
0.500 0.500 0.713 Ti
0.000 0.000 0.500 Mo
```

# Np2AlZn2
Simulated PXRD pattern, CuKα. Input: a DFT-relaxed cell (PBE, Alexandria).
Intensities are scaled so that the largest is 100.

Top 10 peaks for 2θ = 15–90°, low angle first:
d = 5.274 Å, I 100; d = 3.524 Å, I 44; d = 3.199 Å, I 33; d = 2.431 Å, I 83; d = 2.325 Å, I 35; d = 2.318 Å, I 92; d = 2.299 Å, I 41; d = 2.183 Å, I 23; d = 1.978 Å, I 22; d = 1.790 Å, I 33

Structural model:
```
Np2AlZn2
1.0
9.553 0.000 0.000
0.000 3.582 0.000
-4.726 0.000 5.274
Np Al Zn
4 2 4
Direct
0.146 0.000 0.447 Np
0.354 0.500 0.553 Np
0.646 0.500 0.447 Np
0.854 0.000 0.553 Np
0.000 0.500 0.000 Al
0.500 0.000 0.000 Al
0.221 0.500 0.846 Zn
0.279 0.000 0.154 Zn
0.721 0.000 0.846 Zn
0.779 0.500 0.154 Zn
```

# Nd2Ho3Tm9
Simulated PXRD pattern, CuKα. Input: a DFT-relaxed cell (PBE, Alexandria).
Intensities are scaled so that the largest is 100.

Top 10 peaks for 2θ = 15–90°, low angle first:
d = 2.938 Å, I 50; d = 2.824 Å, I 53; d = 2.803 Å, I 88; d = 2.777 Å, I 78; d = 2.750 Å, I 81; d = 2.727 Å, I 100; d = 2.671 Å, I 31; d = 1.908 Å, I 20; d = 1.703 Å, I 19; d = 1.594 Å, I 24

Structural model:
```
Nd2Ho3Tm9
1.0
6.357 0.000 0.000
2.725 7.858 0.000
1.117 0.080 8.761
Nd Ho Tm
2 3 9
Direct
0.000 0.000 0.000 Nd
0.153 0.646 0.197 Nd
0.472 0.034 0.789 Ho
0.627 0.347 0.167 Ho
0.803 0.549 0.450 Ho
0.081 0.386 0.946 Tm
0.193 0.175 0.283 Tm
0.314 0.825 0.500 Tm
0.348 0.391 0.543 Tm
0.510 0.579 0.826 Tm
0.606 0.786 0.121 Tm
0.755 0.985 0.413 Tm
0.926 0.198 0.662 Tm
0.952 0.736 0.744 Tm
```

# DySi4Pd12
Simulated PXRD pattern, CuKα. Input: a DFT-relaxed cell (PBE, Alexandria).
Intensities are scaled so that the largest is 100.

Top 10 peaks for 2θ = 15–90°, low angle first:
d = 2.646 Å, I 100; d = 2.236 Å, I 50; d = 1.708 Å, I 16; d = 1.641 Å, I 24; d = 1.435 Å, I 13; d = 1.394 Å, I 14; d = 1.357 Å, I 8; d = 1.234 Å, I 17; d = 1.183 Å, I 7; d = 1.099 Å, I 7

Structural model:
```
DySi4Pd12
1.0
-4.183 4.183 4.183
4.183 -4.183 4.183
4.183 4.183 -4.183
Dy Si Pd
1 4 12
Direct
0.000 0.000 0.000 Dy
0.000 0.000 0.500 Si
0.000 0.500 0.000 Si
0.500 0.000 0.000 Si
0.500 0.500 0.500 Si
0.165 0.338 0.503 Pd
0.165 0.662 0.827 Pd
0.173 0.835 0.338 Pd
0.338 0.173 0.835 Pd
0.338 0.503 0.165 Pd
0.497 0.835 0.662 Pd
0.503 0.165 0.338 Pd
0.662 0.497 0.835 Pd
0.662 0.827 0.165 Pd
0.827 0.165 0.662 Pd
0.835 0.338 0.173 Pd
0.835 0.662 0.497 Pd
```

# As3Pt2
Simulated PXRD pattern, CuKα. Input: a DFT-relaxed cell (PBE, Alexandria).
Intensities are scaled so that the largest is 100.

Top 10 peaks for 2θ = 15–90°, low angle first:
d = 4.612 Å, I 38; d = 3.299 Å, I 81; d = 3.224 Å, I 100; d = 2.787 Å, I 56; d = 2.306 Å, I 59; d = 2.044 Å, I 87; d = 1.905 Å, I 85; d = 1.890 Å, I 58; d = 1.393 Å, I 25; d = 1.125 Å, I 24

Structural model:
```
As3Pt2
1.0
3.299 1.905 5.206
-3.299 1.905 5.206
0.000 -3.810 5.206
As Pt
6 4
Direct
0.056 0.750 0.444 As
0.250 0.556 0.944 As
0.444 0.056 0.750 As
0.556 0.944 0.250 As
0.750 0.444 0.056 As
0.944 0.250 0.556 As
0.146 0.146 0.146 Pt
0.354 0.354 0.354 Pt
0.646 0.646 0.646 Pt
0.854 0.854 0.854 Pt
```

# Tb3CeRh4
Simulated PXRD pattern, CuKα. Input: a DFT-relaxed cell (PBE, Alexandria).
Intensities are scaled so that the largest is 100.

Top 10 peaks for 2θ = 15–90°, low angle first:
d = 2.450 Å, I 100; d = 2.435 Å, I 97; d = 1.727 Å, I 34; d = 1.415 Å, I 18; d = 1.412 Å, I 35; d = 1.403 Å, I 17; d = 1.225 Å, I 11; d = 1.218 Å, I 10; d = 1.094 Å, I 16; d = 1.090 Å, I 15

Structural model:
```
Tb3CeRh4
1.0
2.450 1.415 7.930
-2.450 1.415 7.930
0.000 -2.829 7.930
Tb Ce Rh
3 1 4
Direct
0.000 0.000 0.000 Tb
0.252 0.252 0.252 Tb
0.748 0.748 0.748 Tb
0.500 0.500 0.500 Ce
0.127 0.127 0.127 Rh
0.378 0.378 0.378 Rh
0.622 0.622 0.622 Rh
0.873 0.873 0.873 Rh
```

# RbHfTlS3
Simulated PXRD pattern, CuKα. Input: a DFT-relaxed cell (PBE, Alexandria).
Intensities are scaled so that the largest is 100.

Top 10 peaks for 2θ = 15–90°, low angle first:
d = 3.736 Å, I 84; d = 3.695 Å, I 60; d = 3.366 Å, I 100; d = 3.330 Å, I 47; d = 2.807 Å, I 20; d = 2.772 Å, I 48; d = 2.255 Å, I 26; d = 2.228 Å, I 31; d = 2.061 Å, I 30; d = 1.995 Å, I 17

Structural model:
```
RbHfTlS3
1.0
3.775 -7.585 0.000
3.775 7.585 0.000
-1.391 0.000 6.661
Rb Hf Tl S
2 2 2 6
Direct
0.242 0.758 0.750 Rb
0.758 0.242 0.250 Rb
0.049 0.951 0.250 Hf
0.951 0.049 0.750 Hf
0.412 0.588 0.250 Tl
0.588 0.412 0.750 Tl
0.179 0.252 0.503 S
0.205 0.795 0.250 S
0.252 0.179 0.003 S
0.748 0.821 0.997 S
0.795 0.205 0.750 S
0.821 0.748 0.497 S
```

# LiCaTaSi
Simulated PXRD pattern, CuKα. Input: a DFT-relaxed cell (PBE, Alexandria).
Intensities are scaled so that the largest is 100.

Top 10 peaks for 2θ = 15–90°, low angle first:
d = 4.046 Å, I 45; d = 3.179 Å, I 92; d = 2.751 Å, I 63; d = 2.697 Å, I 35; d = 2.628 Å, I 100; d = 2.403 Å, I 45; d = 2.370 Å, I 74; d = 2.303 Å, I 37; d = 2.126 Å, I 30; d = 2.095 Å, I 30

Structural model:
```
LiCaTaSi
1.0
2.953 0.000 0.000
0.000 8.091 0.000
-0.483 0.000 3.457
Li Ca Ta Si
1 1 1 1
Direct
0.000 0.000 0.000 Li
0.500 0.335 0.500 Ca
0.000 0.635 0.000 Ta
0.500 0.817 0.500 Si
```